1.
Eu3Mg: simulated PXRD pattern (λ = 1.5418 Å (Cu Kα)), based on a GGA-PBE-relaxed structure.
Neutral-atom scattering factors, no anomalous dispersion.

The 10 most intense peaks (2θ from 10° to 90°), in order of rising 2θ:
| 2theta | intensity |
| --- | --- |
| 16.82 | 188 |
| 23.87 | 169 |
| 29.35 | 1000 |
| 34.01 | 510 |
| 38.18 | 103 |
| 48.87 | 365 |
| 58.03 | 436 |
| 60.88 | 126 |
| 79.21 | 179 |
| 81.69 | 166 |

Structural model:
```
Eu3Mg
1.0
5.271 0.000 0.000
0.000 5.271 0.000
0.000 0.000 5.271
Eu Mg
3 1
direct
0.000 0.000 0.500
0.000 0.500 0.000
0.500 0.000 0.000
0.500 0.500 0.500
```



2.
Eu3Mg: simulated PXRD pattern (λ = 1.5418 Å (Cu Kα)), based on a GGA-PBE-relaxed structure.
Neutral-atom scattering factors, no anomalous dispersion.

The 10 most intense peaks (2θ from 10° to 90°), in order of rising 2θ:
| 2theta | intensity |
| --- | --- |
| 26.65 | 181 |
| 28.75 | 170 |
| 29.56 | 321 |
| 30.55 | 1000 |
| 32.42 | 288 |
| 40.22 | 123 |
| 41.71 | 125 |
| 49.68 | 135 |
| 53.06 | 211 |
| 58.87 | 162 |

Structural model:
```
Eu3Mg
1.0
3.970 0.000 0.000
0.000 6.045 0.000
0.000 0.000 6.209
Eu Mg
3 1
direct
0.000 0.000 0.000
0.000 0.500 0.374
0.500 0.000 0.512
0.500 0.500 0.876
```



3.
EuMg: simulated PXRD pattern (λ = 1.5418 Å (Cu Kα)), based on a GGA-PBE-relaxed structure.
Neutral-atom scattering factors, no anomalous dispersion.

The 10 most intense peaks (2θ from 10° to 90°), in order of rising 2θ:
| 2theta | intensity |
| --- | --- |
| 21.64 | 590 |
| 30.79 | 1000 |
| 37.95 | 193 |
| 44.11 | 186 |
| 49.65 | 268 |
| 54.76 | 389 |
| 64.15 | 121 |
| 68.56 | 129 |
| 72.84 | 166 |
| 89.25 | 203 |

Structural model:
```
EuMg
1.0
4.106 0.000 0.000
0.000 4.106 0.000
0.000 0.000 4.106
Eu Mg
1 1
direct
0.000 0.000 0.000
0.500 0.500 0.500
```



4.
Eu2Mg: simulated PXRD pattern (λ = 1.5418 Å (Cu Kα)), based on a GGA-PBE-relaxed structure.
Neutral-atom scattering factors, no anomalous dispersion.

The 10 most intense peaks (2θ from 10° to 90°), in order of rising 2θ:
| 2theta | intensity |
| --- | --- |
| 24.88 | 512 |
| 27.64 | 312 |
| 28.67 | 411 |
| 29.18 | 424 |
| 29.49 | 563 |
| 29.67 | 1000 |
| 32.00 | 967 |
| 45.39 | 452 |
| 55.39 | 324 |
| 55.90 | 310 |

Structural model:
```
Eu2Mg
1.0
12.916 0.000 0.000
0.000 3.918 0.000
-3.517 0.000 8.727
Eu Mg
8 4
direct
0.010 0.000 0.205
0.161 0.500 0.595
0.339 0.000 0.405
0.490 0.500 0.795
0.510 0.500 0.205
0.661 0.000 0.595
0.839 0.500 0.405
0.990 0.000 0.795
0.195 0.500 0.083
0.305 0.000 0.917
0.695 0.000 0.083
0.805 0.500 0.917
```